For KAuBr4, a crystal structure in OQMD, relaxed with GGA-PBE gives the theoretical XRD peak list in this record (Cu Kα X-rays).
Peak positions follow from Bragg's law for the DFT cell and can differ from measured ones.

Cell and atoms:
abc: 9.565 6.824 13.070
angles: 90.00 97.79 90.00
Fractional positions:
K  0.208  0.058  0.184
K  0.208  0.442  0.684
K  0.792  0.558  0.316
K  0.792  0.942  0.816
Au  0.000  0.000  0.500
Au  0.000  0.500  0.000
Au  0.500  0.000  0.500
Au  0.500  0.500  0.000
Br  0.089  0.559  0.185
Br  0.089  0.941  0.685
Br  0.131  0.707  0.453
Br  0.131  0.793  0.953
Br  0.339  0.237  0.926
Br  0.339  0.263  0.426
Br  0.499  0.646  0.826
Br  0.499  0.854  0.326
Br  0.501  0.146  0.674
Br  0.501  0.354  0.174
Br  0.661  0.737  0.574
Br  0.661  0.763  0.074
Br  0.869  0.207  0.047
Br  0.869  0.293  0.547
Br  0.911  0.059  0.315
Br  0.911  0.441  0.815

Main lines, low angle first (2θ = 10–80°):
two_theta	intensity	hkl
13.68	44	0 0 2
14.67	100	0 1 1
18.73	38	2 0 0
22.85	26	2 1 0
23.12	76	2 1 -1
24.61	29	2 1 1